1.
Calculated X-ray powder pattern of SrP3H12 for Cu Ka, from a DFT-relaxed cell (GGA-PBE, Alexandria).

Structural model:
Lattice parameters (Å, degrees): 8.3772 8.3772 23.4436 90.00 90.00 120.00
Space group R3c (No. 161, hexagonal axes)
Asymmetric unit:
Sr 0.0000 0.0000 0.0000
P 0.0313 0.4765 0.2622
H 0.0034 0.2958 0.2520
H 0.0299 0.2273 0.8035
H 0.0361 0.2054 0.6479
H 0.1818 0.0322 0.8231

Top 12 peaks for 2θ from 10° to 80°, sorted by position:
2θ = 14.36°, d 6.169, intensity 100, hkl 0 1 2; 2θ = 19.47°, d 4.559, intensity 11, hkl 1 0 4; 2θ = 21.21°, d 4.189, intensity 9, hkl 1 1 0; 2θ = 28.95°, d 3.084, intensity 42, hkl 0 2 4; 2θ = 31.31°, d 2.857, intensity 34, hkl 1 1 6; 2θ = 33.56°, d 2.670, intensity 29, hkl 1 2 2; 2θ = 36.17°, d 2.484, intensity 10, hkl 2 1 4; 2θ = 39.53°, d 2.280, intensity 16, hkl 2 0 8; 2θ = 43.20°, d 2.094, intensity 10, hkl 2 2 0; 2θ = 44.04°, d 2.056, intensity 10, hkl 3 0 6; 2θ = 45.75°, d 1.983, intensity 10, hkl 3 1 2; 2θ = 65.31°, d 1.429, intensity 9, hkl 2 2 12



2.
Calculated X-ray powder pattern of TcPH3 for Cu Ka, from a DFT-relaxed cell (GGA-PBE, Alexandria).

Structural model:
Lattice parameters (Å, degrees): 3.472 3.472 3.472 90.00 90.00 90.00
Space group Pm-3m (No. 221)
Asymmetric unit:
Tc 0.000 0.000 0.000
P 0.500 0.500 0.500
H 0.000 0.000 0.500

Top 7 peaks for 2θ from 10° to 80°, sorted by position:
2θ = 25.65°, d 3.472, intensity 38, hkl 1 0 0; 2θ = 36.60°, d 2.455, intensity 100, hkl 1 1 0; 2θ = 45.23°, d 2.005, intensity 10, hkl 1 1 1; 2θ = 52.72°, d 1.736, intensity 18, hkl 2 0 0; 2θ = 59.53°, d 1.553, intensity 15, hkl 2 1 0; 2θ = 65.89°, d 1.418, intensity 34, hkl 2 1 1; 2θ = 77.80°, d 1.228, intensity 11, hkl 2 2 0



3.
Calculated X-ray powder pattern of TcPH2 for Cu Ka, from a DFT-relaxed cell (GGA-PBE, Alexandria).

Structural model:
Lattice parameters (Å, degrees): 3.024 3.024 7.857 90.00 90.00 90.00
Space group I4mm (No. 107)
Asymmetric unit:
Tc 0.000 0.000 0.000
P 0.000 0.000 0.664
H 0.000 0.500 0.382

Top 12 peaks for 2θ from 10° to 80°, sorted by position:
2θ = 22.64°, d 3.928, intensity 60, hkl 0 0 2; 2θ = 31.70°, d 2.822, intensity 100, hkl 1 0 1; 2θ = 42.26°, d 2.139, intensity 46, hkl 1 1 0; 2θ = 45.83°, d 1.980, intensity 76, hkl 1 0 3; 2θ = 46.22°, d 1.964, intensity 8, hkl 0 0 4; 2θ = 48.47°, d 1.878, intensity 31, hkl 1 1 2; 2θ = 61.30°, d 1.512, intensity 16, hkl 2 0 0; 2θ = 64.41°, d 1.447, intensity 12, hkl 1 1 4; 2θ = 66.22°, d 1.411, intensity 12, hkl 2 0 2; 2θ = 67.13°, d 1.394, intensity 12, hkl 1 0 5; 2θ = 70.67°, d 1.333, intensity 19, hkl 2 1 1; 2θ = 79.81°, d 1.202, intensity 29, hkl 2 1 3



4.
Calculated X-ray powder pattern of TcPH2 for Cu Ka, from a DFT-relaxed cell (GGA-PBE, Alexandria).

Structural model:
Lattice parameters (Å, degrees): 3.000 8.424 5.524 90.00 90.00 90.00
Space group Cmc2_1 (No. 36)
Asymmetric unit:
Tc 0.000 0.073 0.000
P 0.000 0.359 0.842
H 0.000 0.106 0.671
H 0.000 0.339 0.384

Top 12 peaks for 2θ from 10° to 80°, sorted by position:
2θ = 21.09°, d 4.212, intensity 57, hkl 0 2 0; 2θ = 26.61°, d 3.349, intensity 100, hkl 0 2 1; 2θ = 31.66°, d 2.826, intensity 70, hkl 1 1 0; 2θ = 32.42°, d 2.762, intensity 55, hkl 0 0 2; 2θ = 35.69°, d 2.516, intensity 71, hkl 1 1 1; 2θ = 39.00°, d 2.310, intensity 31, hkl 0 2 2; 2θ = 45.94°, d 1.975, intensity 94, hkl 1 1 2; 2θ = 46.13°, d 1.968, intensity 50, hkl 0 4 1; 2θ = 47.29°, d 1.922, intensity 100, hkl 1 3 1; 2θ = 54.38°, d 1.687, intensity 34, hkl 0 2 3; 2θ = 68.51°, d 1.370, intensity 34, hkl 1 3 3; 2θ = 76.83°, d 1.241, intensity 22, hkl 1 1 4



5.
Calculated X-ray powder pattern of TePH4 for Cu Ka, from a DFT-relaxed cell (GGA-PBE, Alexandria).

Structural model:
Lattice parameters (Å, degrees): 3.268 5.089 5.170 89.88 89.89 89.43
Space group P1 (No. 1)
Asymmetric unit:
Te 0.000 0.000 0.000
P 0.502 0.502 0.505
H 0.263 0.335 0.670
H 0.263 0.671 0.339
H 0.739 0.333 0.339
H 0.741 0.668 0.670

Top 12 peaks for 2θ from 10° to 80°, sorted by position:
2θ = 17.15°, d 5.170, intensity 35, hkl 0 0 1; 2θ = 17.43°, d 5.089, intensity 34, hkl 0 1 0; 2θ = 24.55°, d 3.626, intensity 100, hkl 0 1 1; 2θ = 27.29°, d 3.268, intensity 13, hkl 1 0 0; 2θ = 32.41°, d 2.762, intensity 70, hkl 1 1 0; 2θ = 32.71°, d 2.737, intensity 23, hkl 1 -1 0; 2θ = 34.71°, d 2.585, intensity 19, hkl 0 0 2; 2θ = 35.28°, d 2.544, intensity 18, hkl 0 2 0; 2θ = 36.89°, d 2.436, intensity 12, hkl 1 1 -1; 2θ = 37.16°, d 2.419, intensity 12, hkl 1 -1 1; 2θ = 48.44°, d 1.879, intensity 29, hkl 1 2 1; 2θ = 48.87°, d 1.864, intensity 14, hkl 1 -2 1



6.
Calculated X-ray powder pattern of TePH for Cu Ka, from a DFT-relaxed cell (GGA-PBE, Alexandria).

Structural model:
Lattice parameters (Å, degrees): 5.266 5.471 6.011 104.82 106.32 96.46
Space group P1 (No. 1)
Asymmetric unit:
Te 0.000 0.000 0.000
Te 0.482 0.569 0.340
P 0.578 0.641 0.790
P 0.722 0.306 0.601
H 0.825 0.168 0.159
H 0.993 0.439 0.649

Top 12 peaks for 2θ from 10° to 80°, sorted by position:
2θ = 19.68°, d 4.511, intensity 46, hkl 0 1 -1; 2θ = 19.88°, d 4.466, intensity 100, hkl 1 0 -1; 2θ = 22.22°, d 4.000, intensity 70, hkl 1 -1 0; 2θ = 26.96°, d 3.308, intensity 43, hkl 0 1 1; 2θ = 27.26°, d 3.272, intensity 67, hkl 1 1 0; 2θ = 27.90°, d 3.197, intensity 40, hkl 1 -1 1; 2θ = 31.71°, d 2.821, intensity 21, hkl 1 0 -2; 2θ = 31.91°, d 2.804, intensity 39, hkl 0 1 -2; 2θ = 34.60°, d 2.592, intensity 20, hkl 0 2 0; 2θ = 42.46°, d 2.129, intensity 32, hkl 1 0 2; 2θ = 45.31°, d 2.001, intensity 21, hkl 2 -2 0; 2θ = 51.64°, d 1.770, intensity 25, hkl 1 2 1



7.
Calculated X-ray powder pattern of TlP3H6 for Cu Ka, from a DFT-relaxed cell (GGA-PBE, Alexandria).

Structural model:
Lattice parameters (Å, degrees): 10.1283 10.1283 5.0625 90.00 90.00 120.00
Space group R3m (No. 160, hexagonal axes)
Asymmetric unit:
Tl 0.0000 0.0000 0.0000
P 0.0554 0.5277 0.0265
H 0.0823 0.1646 0.5675
H 0.1979 0.3959 0.5548

Top 12 peaks for 2θ from 10° to 80°, sorted by position:
2θ = 17.51°, d 5.064, intensity 100, hkl 1 1 0; 2θ = 20.25°, d 4.385, intensity 59, hkl 1 0 1; 2θ = 26.90°, d 3.315, intensity 95, hkl 0 2 1; 2θ = 30.58°, d 2.924, intensity 24, hkl 3 0 0; 2θ = 32.28°, d 2.773, intensity 50, hkl 2 1 1; 2θ = 35.45°, d 2.532, intensity 40, hkl 2 2 0; 2θ = 36.96°, d 2.432, intensity 17, hkl 0 1 2; 2θ = 41.17°, d 2.193, intensity 59, hkl 2 0 2; 2θ = 45.06°, d 2.012, intensity 36, hkl 4 0 1; 2θ = 47.50°, d 1.914, intensity 19, hkl 4 1 0; 2θ = 58.60°, d 1.575, intensity 25, hkl 2 4 1; 2θ = 66.59°, d 1.404, intensity 18, hkl 2 2 3



8.
Calculated X-ray powder pattern of V3P2H for Cu Ka, from a DFT-relaxed cell (GGA-PBE, Alexandria).

Structural model:
Lattice parameters (Å, degrees): 10.797 4.632 5.803 90.00 105.66 90.00
Space group C2/c (No. 15)
Asymmetric unit:
V 0.000 0.007 0.250
V 0.116 0.500 0.057
P 0.183 0.001 0.092
H 0.000 0.416 0.250

Top 12 peaks for 2θ from 10° to 80°, sorted by position:
2θ = 32.03°, d 2.795, intensity 10, hkl 0 0 2; 2θ = 32.26°, d 2.775, intensity 9, hkl 3 1 0; 2θ = 36.54°, d 2.459, intensity 22, hkl 1 1 -2; 2θ = 38.88°, d 2.316, intensity 53, hkl 0 2 0; 2θ = 40.57°, d 2.224, intensity 100, hkl 4 0 -2; 2θ = 47.96°, d 1.897, intensity 44, hkl 5 1 0; 2θ = 54.28°, d 1.690, intensity 6, hkl 4 0 2; 2θ = 57.43°, d 1.604, intensity 38, hkl 4 2 -2; 2θ = 64.20°, d 1.451, intensity 11, hkl 2 0 -4; 2θ = 71.56°, d 1.319, intensity 7, hkl 1 3 2; 2θ = 76.91°, d 1.240, intensity 10, hkl 5 3 0; 2θ = 77.66°, d 1.229, intensity 12, hkl 2 2 -4



9.
Calculated X-ray powder pattern of V5P2H2 for Cu Ka, from a DFT-relaxed cell (GGA-PBE, Alexandria).

Structural model:
Lattice parameters (Å, degrees): 9.481 3.229 6.647 90.00 109.78 90.00
Space group C2/m (No. 12)
Asymmetric unit:
V 0.000 0.000 0.000
V 0.129 0.000 0.449
V 0.159 0.500 0.825
P 0.163 0.500 0.212
H 0.068 0.000 0.681

Top 12 peaks for 2θ from 10° to 80°, sorted by position:
2θ = 34.28°, d 2.616, intensity 33, hkl 1 1 1; 2θ = 38.89°, d 2.316, intensity 70, hkl 1 1 -2; 2θ = 40.14°, d 2.247, intensity 100, hkl 3 1 -1; 2θ = 40.44°, d 2.230, intensity 71, hkl 2 0 2; 2θ = 41.12°, d 2.195, intensity 30, hkl 2 0 -3; 2θ = 41.27°, d 2.188, intensity 38, hkl 3 1 0; 2θ = 43.88°, d 2.063, intensity 46, hkl 1 1 2; 2θ = 44.23°, d 2.048, intensity 38, hkl 3 1 -2; 2θ = 47.31°, d 1.921, intensity 33, hkl 3 1 1; 2θ = 48.66°, d 1.871, intensity 29, hkl 4 0 -3; 2θ = 50.14°, d 1.819, intensity 34, hkl 1 1 -3; 2θ = 57.04°, d 1.615, intensity 43, hkl 0 2 0



10.
Calculated X-ray powder pattern of P2HW2 for Cu Ka, from a DFT-relaxed cell (GGA-PBE, Alexandria).

Structural model:
Lattice parameters (Å, degrees): 6.476 6.476 3.174 90.00 90.00 90.00
Space group P4/mbm (No. 127)
Asymmetric unit:
P 0.141 0.359 0.000
H 0.000 0.000 0.000
W 0.157 0.657 0.500

Top 12 peaks for 2θ from 10° to 80°, sorted by position:
2θ = 19.39°, d 4.579, intensity 32, hkl 1 1 0; 2θ = 27.55°, d 3.238, intensity 17, hkl 2 0 0; 2θ = 28.12°, d 3.174, intensity 31, hkl 0 0 1; 2θ = 30.88°, d 2.896, intensity 59, hkl 2 1 0; 2θ = 39.77°, d 2.266, intensity 10, hkl 2 0 1; 2θ = 42.25°, d 2.139, intensity 100, hkl 2 1 1; 2θ = 44.23°, d 2.048, intensity 22, hkl 3 1 0; 2θ = 53.24°, d 1.721, intensity 13, hkl 3 1 1; 2θ = 60.67°, d 1.526, intensity 13, hkl 3 3 0; 2θ = 66.41°, d 1.408, intensity 14, hkl 4 1 1; 2θ = 67.28°, d 1.392, intensity 13, hkl 2 1 2; 2θ = 68.18°, d 1.376, intensity 11, hkl 3 3 1



11.
Calculated X-ray powder pattern of Zr24P8H for Cu Ka, from a DFT-relaxed cell (GGA-PBE, Alexandria).

Structural model:
Lattice parameters (Å, degrees): 10.848 5.396 10.859 90.00 90.06 90.00
Space group P2 (No. 3)
Asymmetric unit:
Zr 0.027 0.057 0.137
Zr 0.085 0.316 0.607
Zr 0.107 0.816 0.415
Zr 0.138 0.501 0.973
Zr 0.179 0.793 0.714
Zr 0.215 0.294 0.321
Zr 0.284 0.763 0.181
Zr 0.319 0.259 0.783
Zr 0.362 0.555 0.527
Zr 0.390 0.244 0.087
Zr 0.413 0.737 0.889
Zr 0.472 0.000 0.363
P 0.040 0.566 0.206
P 0.206 0.991 0.959
P 0.293 0.065 0.540
P 0.460 0.492 0.294
H 0.500 0.989 0.000

Top 12 peaks for 2θ from 10° to 80°, sorted by position:
2θ = 30.88°, d 2.896, intensity 39, hkl 1 1 3; 2θ = 34.11°, d 2.629, intensity 100, hkl 3 1 2; 2θ = 35.08°, d 2.558, intensity 36, hkl 3 0 3; 2θ = 35.26°, d 2.545, intensity 56, hkl 1 2 1; 2θ = 37.05°, d 2.426, intensity 55, hkl 2 0 -4; 2θ = 37.22°, d 2.416, intensity 18, hkl 0 2 2; 2θ = 38.04°, d 2.366, intensity 74, hkl 1 1 4; 2θ = 40.89°, d 2.207, intensity 20, hkl 2 2 2; 2θ = 42.47°, d 2.128, intensity 20, hkl 5 0 -1; 2θ = 42.62°, d 2.121, intensity 25, hkl 1 2 -3; 2θ = 54.14°, d 1.694, intensity 16, hkl 1 1 6; 2θ = 60.42°, d 1.532, intensity 17, hkl 3 2 -5



12.
Calculated X-ray powder pattern of Pa5H6 for Cu Ka, from a DFT-relaxed cell (GGA-PBE, Alexandria).

Structural model:
Lattice parameters (Å, degrees): 3.160 6.307 14.662 90.00 90.00 90.00
Space group Immm (No. 71)
Asymmetric unit:
Pa 0.000 0.000 0.000
Pa 0.000 0.000 0.397
Pa 0.000 0.500 0.295
H 0.000 0.230 0.134
H 0.000 0.252 0.500

Top 12 peaks for 2θ from 10° to 80°, sorted by position:
2θ = 28.30°, d 3.154, intensity 55, hkl 0 2 0; 2θ = 33.73°, d 2.657, intensity 100, hkl 0 1 5; 2θ = 34.01°, d 2.636, intensity 59, hkl 1 1 2; 2θ = 44.63°, d 2.030, intensity 28, hkl 1 2 3; 2θ = 52.41°, d 1.746, intensity 9, hkl 1 0 7; 2θ = 53.64°, d 1.709, intensity 20, hkl 0 3 5; 2θ = 53.85°, d 1.703, intensity 16, hkl 1 3 2; 2θ = 58.41°, d 1.580, intensity 11, hkl 2 0 0; 2θ = 60.18°, d 1.538, intensity 11, hkl 1 1 8; 2θ = 60.63°, d 1.527, intensity 11, hkl 1 2 7; 2θ = 66.15°, d 1.413, intensity 11, hkl 2 2 0; 2θ = 69.16°, d 1.358, intensity 19, hkl 2 1 5